1.
# Tl6In2Pb3
Theoretical X-ray powder pattern, Cu Kα (weighted mean of Kα1 and Kα2). Input: a PBE-relaxed structure.

```
Tl6In2Pb3
1.0
1.734 1.001 32.081
-1.734 1.001 32.081
0.000 -2.002 32.081
Tl In Pb
6 2 3
Direct
0.093 0.093 0.093
0.182 0.182 0.182
0.364 0.364 0.364
0.636 0.636 0.636
0.818 0.818 0.818
0.907 0.907 0.907
0.455 0.455 0.455
0.545 0.545 0.545
0.000 0.000 0.000
0.272 0.272 0.272
0.728 0.728 0.728
```

The 10 most intense peaks (2θ from 10° to 90°), by angle:
| 2theta | I/Imax |
| --- | --- |
| 30.7 | 35 |
| 31.5 | 100 |
| 36.3 | 68 |
| 51.7 | 24 |
| 52.8 | 24 |
| 61.3 | 14 |
| 62.3 | 28 |
| 62.8 | 14 |
| 65.8 | 12 |
| 86.5 | 12 |

2.
# TlIn12Pb16
Theoretical X-ray powder pattern, Cu Kα (weighted mean of Kα1 and Kα2). Input: a PBE-relaxed structure.

```
TlIn12Pb16
1.0
6.043 -8.288 0.000
6.043 8.288 0.000
-5.223 0.000 8.698
Tl In Pb
1 12 16
Direct
0.000 0.000 0.000
0.053 0.053 0.534
0.057 0.247 0.348
0.224 0.224 0.897
0.231 0.607 0.520
0.247 0.057 0.348
0.404 0.597 0.077
0.408 0.789 0.890
0.597 0.404 0.077
0.600 0.788 0.698
0.607 0.231 0.520
0.788 0.600 0.698
0.789 0.408 0.890
0.011 0.710 0.300
0.083 0.426 0.717
0.100 0.417 0.120
0.103 0.830 0.706
0.127 0.727 0.019
0.408 0.408 0.703
0.417 0.100 0.120
0.417 0.832 0.391
0.426 0.083 0.717
0.426 0.426 0.371
0.710 0.011 0.300
0.720 0.720 0.020
0.727 0.127 0.019
0.729 0.729 0.416
0.830 0.103 0.706
0.832 0.417 0.391
```

The 10 most intense peaks (2θ from 10° to 90°), by angle:
| 2theta | I/Imax |
| --- | --- |
| 29.7 | 48 |
| 30.5 | 74 |
| 30.7 | 35 |
| 30.8 | 31 |
| 31.6 | 82 |
| 31.9 | 43 |
| 32.4 | 100 |
| 32.6 | 45 |
| 35.2 | 20 |
| 35.8 | 19 |

3.
# Tl3In2Pb4
Theoretical X-ray powder pattern, Cu Kα (weighted mean of Kα1 and Kα2). Input: a PBE-relaxed structure.

```
Tl3In2Pb4
1.0
8.485 -5.008 0.000
8.485 5.008 0.000
-1.950 0.000 6.503
Tl In Pb
6 4 8
Direct
0.007 0.993 0.750
0.333 0.348 0.633
0.348 0.333 0.133
0.652 0.667 0.867
0.667 0.652 0.367
0.993 0.007 0.250
0.010 0.340 0.306
0.340 0.010 0.806
0.660 0.990 0.194
0.990 0.660 0.694
0.002 0.346 0.803
0.318 0.679 0.000
0.321 0.682 0.500
0.346 0.002 0.303
0.654 0.998 0.697
0.679 0.318 0.500
0.682 0.321 0.000
0.998 0.654 0.197
```

The 10 most intense peaks (2θ from 10° to 90°), by angle:
| 2theta | I/Imax |
| --- | --- |
| 29.9 | 26 |
| 30.9 | 16 |
| 31.5 | 100 |
| 32.0 | 22 |
| 32.5 | 26 |
| 33.1 | 43 |
| 34.1 | 18 |
| 37.9 | 30 |
| 55.0 | 15 |
| 58.1 | 16 |